(1)
Structure and calculated powder diffraction line list of Y3Co (a structure optimized by DFT (GGA-PBE); Cu Kα).
Peak positions follow from Bragg's law for the DFT cell and can differ from measured ones.

Atomic structure:
Cell lengths 6.338, 9.496, 7.013 Å; angles 90.00, 90.01, 90.00 degrees
Space group P2_1 (No. 4)
Inequivalent atoms, fractional coordinates:
Y 0.133 0.000 0.043 (multiplicity 2)
Y 0.173 0.316 0.329 (multiplicity 2)
Y 0.185 0.679 0.323 (multiplicity 2)
Y 0.324 0.315 0.825 (multiplicity 2)
Y 0.333 0.679 0.826 (multiplicity 2)
Y 0.358 0.999 0.546 (multiplicity 2)
Co 0.044 0.511 0.612 (multiplicity 2)
Co 0.458 0.498 0.110 (multiplicity 2)

Most intense lines, 15° ≤ 2θ ≤ 90°, by intensity:
- 31.59 deg, I 100.0, (1 3 0)
- 32.40 deg, I 83.1, (2 1 1)
- 34.81 deg, I 68.8, (1 2 2)
- 34.15 deg, I 57.6, (1 3 -1)
- 31.72 deg, I 56.5, (0 2 2)
- 30.62 deg, I 45.3, (1 1 -2)
- 30.96 deg, I 43.9, (2 0 -1)
- 56.97 deg, I 42.6, (2 3 3)
- 38.30 deg, I 37.0, (0 3 2)
- 48.94 deg, I 34.0, (3 2 1)


(2)
Structure and calculated powder diffraction line list of Rb2S2O7 (a structure optimized by DFT (GGA-PBE); Cu Kα).
Peak positions follow from Bragg's law for the DFT cell and can differ from measured ones.

Atomic structure:
Cell lengths 7.735, 7.844, 13.200 Å; angles 99.82, 91.69, 92.25 degrees
Space group P-1 (No. 2)
Inequivalent atoms, fractional coordinates:
Rb 0.056 0.296 0.342 (multiplicity 2)
Rb 0.277 0.879 0.155 (multiplicity 2)
Rb 0.285 0.206 0.628 (multiplicity 2)
Rb 0.384 0.625 0.868 (multiplicity 2)
S 0.158 0.361 0.085 (multiplicity 2)
S 0.202 0.775 0.417 (multiplicity 2)
S 0.222 0.114 0.893 (multiplicity 2)
S 0.435 0.740 0.609 (multiplicity 2)
O 0.005 0.579 0.873 (multiplicity 2)
O 0.059 0.664 0.442 (multiplicity 2)
O 0.090 0.229 0.976 (multiplicity 2)
O 0.093 0.032 0.815 (multiplicity 2)
O 0.149 0.943 0.397 (multiplicity 2)
O 0.250 0.253 0.147 (multiplicity 2)
O 0.272 0.495 0.054 (multiplicity 2)
O 0.308 0.996 0.950 (multiplicity 2)
O 0.316 0.843 0.528 (multiplicity 2)
O 0.319 0.606 0.638 (multiplicity 2)
O 0.319 0.687 0.343 (multiplicity 2)
O 0.340 0.239 0.857 (multiplicity 2)
O 0.416 0.322 0.447 (multiplicity 2)
O 0.470 0.888 0.691 (multiplicity 2)

Most intense lines, 15° ≤ 2θ ≤ 90°, by intensity:
- 25.17 deg, I 100.0, (0 2 1)
- 27.45 deg, I 81.5, (0 0 4)
- 25.94 deg, I 58.3, (2 -1 1)
- 23.03 deg, I 48.8, (0 2 0)
- 28.19 deg, I 43.5, (0 2 -3)
- 24.51 deg, I 36.9, (1 1 -3)
- 26.26 deg, I 35.2, (2 1 0)
- 24.28 deg, I 30.7, (2 0 1)
- 30.44 deg, I 30.7, (2 0 -3)
- 27.88 deg, I 25.0, (2 1 1)


Question: Which formula does entry 2 have?
Answer: Rb2S2O7


Question: What is the formula in the second record?
Answer: Rb2S2O7


Question: Which formula does entry 1 have?
Answer: Y3Co